Computed powder XRD pattern
Compound: AcBi2WO8
Radiation: a wavelength of 1.5418 Å
Structure: DFT lattice parameters and positions (PBE+U)
Peak positions follow from Bragg's law for the DFT cell and can differ from measured ones.

Peak list (8 most intense, 10 to 80 degrees two-theta, in order of rising 2θ)
2θ (°)  d [Å]  I_rel
23.82  3.735  53
24.41  3.647  51
30.39  2.942  100
34.37  2.609  32
46.19  1.965  38
46.85  1.939  37
59.10  1.563  21
63.22  1.471  12

Cell and atoms:
abc: 5.220 5.220 7.123
angles: 90.00 90.00 91.37
Positions (direct):
Ac 0.000 0.000 0.000
Bi 0.500 0.500 0.258
Bi 0.500 0.500 0.742
W 0.000 0.000 0.500
O 0.183 0.183 0.298
O 0.183 0.183 0.702
O 0.265 0.735 0.500
O 0.326 0.674 0.000
O 0.674 0.326 0.000
O 0.735 0.265 0.500
O 0.817 0.817 0.298
O 0.817 0.817 0.702